Simulated powder diffractogram
Compound: PrDyZrN3
Radiation: Cu Kα (weighted mean of Kα1 and Kα2)
Structure: a structure optimized by DFT (PBE)

Atomic structure:
Lattice parameters (Å, degrees): 6.515 3.337 9.692 90.00 93.70 90.00
Space group P2_1/m (No. 11)
One atom of each set of equivalent atoms:
Pr 0.161 0.250 0.216
Dy 0.203 0.250 0.574
Zr 0.349 0.750 0.894
N 0.145 0.250 0.831
N 0.154 0.750 0.422
N 0.397 0.750 0.108

Top 6 peaks for 5° ≤ 2θ ≤ 70°, sorted by position:
2θ 27.4, I = 38, (2 0 0); 2θ 30.1, I = 100, (1 0 -3); 2θ 31.8, I = 54, (1 0 3); 2θ 32.6, I = 63, (0 1 2); 2θ 38.7, I = 57, (2 1 0); 2θ 47.1, I = 37, (2 1 -3)



Simulated powder diffractogram
Compound: HgIrCl6
Radiation: Cu Kα (weighted mean of Kα1 and Kα2)
Structure: a structure optimized by DFT (PBE)

Atomic structure:
Lattice parameters (Å, degrees): 11.303 7.946 9.441 90.00 100.20 90.00
Space group C2/c (No. 15)
One atom of each set of equivalent atoms:
Hg 0.000 0.012 0.250
Ir 0.250 0.250 0.000
Cl 0.080 0.301 0.104
Cl 0.142 0.298 0.773
Cl 0.185 0.030 0.470

Top 6 peaks for 5° ≤ 2θ ≤ 70°, sorted by position:
2θ 13.7, I = 100, (1 1 0); 2θ 15.9, I = 83, (1 1 -1); 2θ 17.5, I = 78, (1 1 1); 2θ 22.7, I = 66, (2 0 -2); 2θ 27.1, I = 52, (2 0 2); 2θ 27.6, I = 55, (2 2 0)



Simulated powder diffractogram
Compound: Cs3Pu2Br9
Radiation: Cu Kα (weighted mean of Kα1 and Kα2)
Structure: a structure optimized by DFT (PBE)

Atomic structure:
Lattice parameters (Å, degrees): 14.0154 14.0154 20.1838 90.00 90.00 120.00
Space group R-3c (No. 167, hexagonal axes)
One atom of each set of equivalent atoms:
Cs 0.0000 0.3411 0.2500
Pu 0.0000 0.0000 0.1527
Br 0.0000 0.1566 0.7500
Br 0.0077 0.1803 0.4123

Top 6 peaks for 5° ≤ 2θ ≤ 70°, sorted by position:
2θ 12.6, I = 50, (1 1 0); 2θ 22.0, I = 38, (3 0 0); 2θ 28.7, I = 100, (2 2 3); 2θ 29.5, I = 24, (1 1 6); 2θ 37.0, I = 50, (2 2 6); 2θ 44.8, I = 38, (6 0 0)



Simulated powder diffractogram
Compound: MgZnHPd2
Radiation: Cu Kα (weighted mean of Kα1 and Kα2)
Structure: a structure optimized by DFT (PBE)

Atomic structure:
Lattice parameters (Å, degrees): 4.010 4.010 3.976 90.00 90.00 90.00
Space group P4/mmm (No. 123)
One atom of each set of equivalent atoms:
Mg 0.000 0.000 0.000
Zn 0.500 0.500 0.000
H 0.000 0.000 0.500
Pd 0.000 0.500 0.500

Top 6 peaks for 5° ≤ 2θ ≤ 70°, sorted by position:
2θ 22.4, I = 16, (0 0 1); 2θ 31.6, I = 13, (1 1 0); 2θ 39.0, I = 100, (1 1 1); 2θ 45.2, I = 33, (2 0 0); 2θ 45.6, I = 16, (0 0 2); 2θ 66.2, I = 20, (2 0 2)



Simulated powder diffractogram
Compound: Hf4CuSi4
Radiation: Cu Kα (weighted mean of Kα1 and Kα2)
Structure: a structure optimized by DFT (PBE)

Atomic structure:
Lattice parameters (Å, degrees): 9.724 3.765 8.674 90.00 109.88 90.00
Space group C2/m (No. 12)
One atom of each set of equivalent atoms:
Hf 0.108 0.000 0.381
Hf 0.246 0.000 0.842
Cu 0.000 0.000 0.000
Si 0.037 0.500 0.850
Si 0.115 0.500 0.614

Top 6 peaks for 5° ≤ 2θ ≤ 70°, sorted by position:
2θ 31.6, I = 69, (1 1 -2); 2θ 32.1, I = 59, (2 0 -3); 2θ 36.0, I = 97, (1 1 2); 2θ 36.6, I = 100, (3 1 -1); 2θ 37.1, I = 42, (4 0 -1); 2θ 48.4, I = 38, (0 2 0)



Simulated powder diffractogram
Compound: TlRu4Rh
Radiation: Cu Kα (weighted mean of Kα1 and Kα2)
Structure: a structure optimized by DFT (PBE)

Atomic structure:
Lattice parameters (Å, degrees): 7.285 7.285 7.285 90.00 90.00 90.00
Space group F-43m (No. 216)
One atom of each set of equivalent atoms:
Tl 0.000 0.000 0.000
Ru 0.124 0.124 0.376
Rh 0.250 0.250 0.750

Top 6 peaks for 5° ≤ 2θ ≤ 70°, sorted by position:
2θ 24.4, I = 5, (2 0 0); 2θ 34.8, I = 40, (2 2 0); 2θ 41.1, I = 100, (3 1 1); 2θ 43.0, I = 29, (2 2 2); 2θ 62.5, I = 15, (4 2 2); 2θ 66.7, I = 32, (5 1 1)



Simulated powder diffractogram
Compound: CeTcH
Radiation: Cu Kα (weighted mean of Kα1 and Kα2)
Structure: a structure optimized by DFT (PBE)

Atomic structure:
Lattice parameters (Å, degrees): 3.1924 3.1924 4.7851 90.00 90.00 120.00
Space group P3m1 (No. 156)
One atom of each set of equivalent atoms:
Ce 0.0000 0.0000 0.0000
Tc 0.6667 0.3333 0.5102
H 0.3333 0.6667 0.3966

Top 6 peaks for 5° ≤ 2θ ≤ 70°, sorted by position:
2θ 18.5, I = 2, (0 0 1); 2θ 32.4, I = 21, (1 0 0); 2θ 37.6, I = 100, (0 0 2); 2θ 50.4, I = 13, (1 0 2); 2θ 57.8, I = 16, (1 1 0); 2θ 67.8, I = 17, (0 1 3)



Simulated powder diffractogram
Compound: Pa4TlSe8
Radiation: Cu Kα (weighted mean of Kα1 and Kα2)
Structure: a structure optimized by DFT (PBE)

Atomic structure:
Lattice parameters (Å, degrees): 12.178 12.178 12.178 90.00 90.00 90.00
Space group F-43m (No. 216)
One atom of each set of equivalent atoms:
Pa 0.123 0.123 0.377
Tl 0.000 0.000 0.000
Se 0.113 0.113 0.613
Se 0.142 0.142 0.142

Top 6 peaks for 5° ≤ 2θ ≤ 70°, sorted by position:
2θ 12.6, I = 76, (1 1 1); 2θ 24.2, I = 100, (3 1 1); 2θ 29.3, I = 79, (4 0 0); 2θ 38.4, I = 64, (5 1 1); 2θ 42.0, I = 98, (4 4 0); 2θ 58.2, I = 25, (5 5 3)



Simulated powder diffractogram
Compound: LaCr2Cu
Radiation: Cu Kα (weighted mean of Kα1 and Kα2)
Structure: a structure optimized by DFT (PBE)

Atomic structure:
Lattice parameters (Å, degrees): 7.408 4.276 5.780 90.00 115.14 90.00
Space group Cm (No. 8)
One atom of each set of equivalent atoms:
La 0.000 0.000 0.000
Cr 0.302 0.500 0.407
Cr 0.483 0.000 0.448
Cu 0.204 0.000 0.614

Top 6 peaks for 5° ≤ 2θ ≤ 70°, sorted by position:
2θ 24.7, I = 59, (1 1 0); 2θ 26.6, I = 26, (2 0 0); 2θ 33.3, I = 100, (2 0 -2); 2θ 34.3, I = 26, (0 0 2); 2θ 37.6, I = 63, (2 0 1); 2θ 42.3, I = 93, (0 2 0)



Simulated powder diffractogram
Compound: RbHgF3
Radiation: Cu Kα (weighted mean of Kα1 and Kα2)
Structure: a structure optimized by DFT (PBE)

Atomic structure:
Lattice parameters (Å, degrees): 3.660 3.661 6.996 90.00 90.09 90.00
Space group P2/m (No. 10)
One atom of each set of equivalent atoms:
Rb 0.000 0.000 0.000
Hg 0.500 0.500 0.500
F 0.000 0.000 0.500
F 0.500 0.500 0.198

Top 6 peaks for 5° ≤ 2θ ≤ 70°, sorted by position:
2θ 12.7, I = 31, (0 0 1); 2θ 25.5, I = 36, (0 0 2); 2θ 27.5, I = 100, (1 0 1); 2θ 34.7, I = 52, (1 1 0); 2θ 43.5, I = 35, (1 1 2); 2θ 46.2, I = 35, (1 0 3)



Simulated powder diffractogram
Compound: AsAuN2O
Radiation: Cu Kα (weighted mean of Kα1 and Kα2)
Structure: a structure optimized by DFT (PBE)

Atomic structure:
Lattice parameters (Å, degrees): 3.932 3.932 3.632 90.00 90.00 90.00
Space group P4/mmm (No. 123)
One atom of each set of equivalent atoms:
As 0.000 0.000 0.000
Au 0.500 0.500 0.500
N 0.000 0.500 0.000
O 0.000 0.000 0.500

Top 6 peaks for 5° ≤ 2θ ≤ 70°, sorted by position:
2θ 22.6, I = 20, (1 0 0); 2θ 32.2, I = 59, (1 1 0); 2θ 33.6, I = 100, (1 0 1); 2θ 40.9, I = 23, (1 1 1); 2θ 46.2, I = 31, (2 0 0); 2θ 58.3, I = 43, (2 1 1)



Simulated powder diffractogram
Compound: Cs3AsCl7
Radiation: Cu Kα (weighted mean of Kα1 and Kα2)
Structure: a structure optimized by DFT (PBE)

Atomic structure:
Lattice parameters (Å, degrees): 10.269 10.269 7.347 90.00 90.00 90.00
Space group P4/mbm (No. 127)
One atom of each set of equivalent atoms:
Cs 0.000 0.000 0.000
Cs 0.180 0.320 0.500
As 0.000 0.500 0.000
Cl 0.000 0.000 0.500
Cl 0.116 0.616 0.233
Cl 0.165 0.335 0.000

Top 6 peaks for 5° ≤ 2θ ≤ 70°, sorted by position:
2θ 21.1, I = 100, (2 0 1); 2θ 24.2, I = 38, (0 0 2); 2θ 24.5, I = 53, (2 2 0); 2θ 27.5, I = 56, (3 1 0); 2θ 31.2, I = 92, (2 1 2); 2θ 34.7, I = 41, (2 2 2)



Simulated powder diffractogram
Compound: RbTmSnF6
Radiation: Cu Kα (weighted mean of Kα1 and Kα2)
Structure: a structure optimized by DFT (PBE)

Atomic structure:
Lattice parameters (Å, degrees): 6.2863 6.2863 5.1311 90.00 90.00 120.00
Space group P3 (No. 143)
One atom of each set of equivalent atoms:
Rb 0.0000 0.0000 0.0000
Tm 0.6667 0.3333 0.5767
Sn 0.3333 0.6667 0.5027
F 0.0125 0.4294 0.7800
F 0.3619 0.2907 0.3584

Top 6 peaks for 5° ≤ 2θ ≤ 70°, sorted by position:
2θ 17.3, I = 34, (0 0 1); 2θ 23.8, I = 100, (0 1 1); 2θ 28.4, I = 62, (1 1 0); 2θ 37.4, I = 35, (2 0 1); 2θ 45.6, I = 45, (2 -1 2); 2θ 47.6, I = 32, (3 -2 1)